1.
For AgAs2O4, a PBE-relaxed structure gives the simulated X-ray powder pattern in this record (Cu Kα (λ = 1.5418 Å)).
Intensities are scaled so that the largest is 100.

abc: 6.8610 6.8610 5.8334
angles: 90.00 90.00 90.00
Positions (direct):
Ag: 0.0000 0.0000 0.0000
Ag: 0.5000 0.5000 0.5000
As: 0.0000 0.5000 0.2500
As: 0.0000 0.5000 0.7500
As: 0.5000 0.0000 0.2500
As: 0.5000 0.0000 0.7500
O: 0.0976 0.3322 0.0000
O: 0.1678 0.5976 0.5000
O: 0.3322 0.9024 0.0000
O: 0.4024 0.1678 0.5000
O: 0.5976 0.8322 0.5000
O: 0.6678 0.0976 0.0000
O: 0.8322 0.4024 0.5000
O: 0.9024 0.6678 0.0000

Main lines, by angle (2θ from 10° to 80°):
- d 4.851, intensity 18.3
- d 4.444, intensity 85.8
- d 3.431, intensity 100.0
- d 2.716, intensity 33.2
- d 2.500, intensity 71.8
- d 2.426, intensity 37.3
- d 2.129, intensity 14.1
- d 1.809, intensity 15.0
- d 1.741, intensity 70.6
- d 1.534, intensity 20.1
- d 1.414, intensity 12.8
- d 1.222, intensity 17.7

2.
For PrDy5In6, a PBE-relaxed structure gives the simulated X-ray powder pattern in this record (Cu Kα (λ = 1.5418 Å)).
Intensities are scaled so that the largest is 100.

abc: 8.4736 8.4736 7.5421
angles: 90.00 90.00 143.15
Positions (direct):
Pr: 0.0000 0.0000 0.0000
Dy: 0.0000 0.0000 0.5000
Dy: 0.3327 0.6673 0.0000
Dy: 0.3364 0.6636 0.5000
Dy: 0.6636 0.3364 0.5000
Dy: 0.6673 0.3327 0.0000
In: 0.1698 0.8302 0.2552
In: 0.1698 0.8302 0.7448
In: 0.5000 0.5000 0.2542
In: 0.5000 0.5000 0.7458
In: 0.8302 0.1698 0.2552
In: 0.8302 0.1698 0.7448

Main lines, by angle (2θ from 10° to 80°):
- d 3.789, intensity 1.7
- d 3.771, intensity 0.9
- d 2.675, intensity 100.0
- d 2.184, intensity 0.8
- d 1.894, intensity 12.0
- d 1.886, intensity 5.9
- d 1.694, intensity 0.8
- d 1.546, intensity 24.5
- d 1.542, intensity 12.2
- d 1.339, intensity 3.8
- d 1.336, intensity 7.5

3.
For HfTaAsPt2, a PBE-relaxed structure gives the simulated X-ray powder pattern in this record (Cu Kα (λ = 1.5418 Å)).
Intensities are scaled so that the largest is 100.

abc: 4.8504 4.8504 5.1018
angles: 90.00 90.00 90.00
Positions (direct):
Hf: 0.0000 0.0000 0.0000
Ta: 0.0000 0.0000 0.5000
As: 0.5000 0.5000 0.5000
Pt: 0.0000 0.5000 0.0000
Pt: 0.5000 0.0000 0.0000

Main lines, by angle (2θ from 10° to 80°):
- d 5.102, intensity 44.0
- d 4.850, intensity 65.9
- d 2.846, intensity 100.0
- d 2.551, intensity 57.4
- d 2.425, intensity 99.8
- d 2.258, intensity 18.8
- d 2.190, intensity 20.7
- d 2.169, intensity 16.8
- d 1.758, intensity 76.3
- d 1.715, intensity 35.3
- d 1.469, intensity 27.4
- d 1.423, intensity 38.2

4.
For LaZrHg2, a PBE-relaxed structure gives the simulated X-ray powder pattern in this record (Cu Kα (λ = 1.5418 Å)).
Intensities are scaled so that the largest is 100.

abc: 3.3884 3.3884 8.6807
angles: 90.00 90.00 90.00
Positions (direct):
La: 0.0000 0.0000 0.0000
Zr: 0.0000 0.0000 0.5000
Hg: 0.5000 0.5000 0.2758
Hg: 0.5000 0.5000 0.7242

Main lines, by angle (2θ from 10° to 80°):
- d 3.388, intensity 7.0
- d 3.156, intensity 4.8
- d 2.671, intensity 100.0
- d 2.396, intensity 39.6
- d 2.170, intensity 11.3
- d 1.845, intensity 5.0
- d 1.694, intensity 13.8
- d 1.608, intensity 17.6
- d 1.545, intensity 5.9
- d 1.431, intensity 29.5
- d 1.335, intensity 9.5
- d 1.331, intensity 6.4

5.
For CeZrF7, a PBE-relaxed structure gives the simulated X-ray powder pattern in this record (Cu Kα (λ = 1.5418 Å)).
Intensities are scaled so that the largest is 100.

abc: 6.3266 5.9935 8.5855
angles: 90.00 102.76 90.00
Positions (direct):
Ce: 0.1572 0.0000 0.1879
Ce: 0.8428 0.5000 0.8121
Zr: 0.3124 0.0081 0.7238
Zr: 0.6876 0.5081 0.2762
F: 0.0467 0.6982 0.0189
F: 0.0728 0.7768 0.7091
F: 0.1018 0.2706 0.7097
F: 0.2657 0.0020 0.4813
F: 0.3571 0.0139 0.9664
F: 0.4465 0.2727 0.2551
F: 0.4482 0.7419 0.2673
F: 0.5518 0.2419 0.7327
F: 0.5535 0.7727 0.7449
F: 0.6429 0.5139 0.0336
F: 0.7343 0.5020 0.5187
F: 0.8982 0.7706 0.2903
F: 0.9272 0.2768 0.2909
F: 0.9533 0.1982 0.9811

Main lines, by angle (2θ from 10° to 80°):
- d 4.299, intensity 100.0
- d 4.187, intensity 35.4
- d 4.089, intensity 12.2
- d 3.606, intensity 20.7
- d 3.432, intensity 13.2
- d 3.261, intensity 27.8
- d 2.997, intensity 11.2
- d 2.164, intensity 16.1
- d 2.150, intensity 11.2
- d 2.009, intensity 17.4
- d 1.989, intensity 13.7
- d 1.901, intensity 11.9